Structure and simulated powder XRD pattern of Tm2GaHg2 (a structure optimized by DFT (GGA-PBE); Cu Kα (λ = 1.5418 Å)).
Neutral-atom scattering factors, no anomalous dispersion.

Main lines, by intensity (2θ from 10° to 90°):
2θ/deg	I_rel
33.89	100
37.44	66
37.15	58
27.62	36
62.59	33
65.25	31
39.49	25
66.70	21

Crystal structure
```
Tm2GaHg2
1.0
1.7207 -10.3375 0.0000
1.7207 10.3375 0.0000
0.0000 0.0000 3.3996
Tm Ga Hg
2 1 2
direct
0.0900 0.9100 0.0000 Tm
0.9100 0.0900 0.0000 Tm
0.5000 0.5000 0.5000 Ga
0.3107 0.6893 0.5000 Hg
0.6893 0.3107 0.5000 Hg
```